# 1
Calculated powder diffractogram
Compound: NpCr2Si2
Radiation: a wavelength of 1.5418 Å
Structure: the GGA-PBE geometry in the Materials Project

Most intense lines, 2θ from 5° to 70°, by angle:
| 2theta | I (rel.) | hkl |
| --- | --- | --- |
| 24.38 | 83 | 1 0 1 |
| 35.14 | 67 | 1 0 3 |
| 37.02 | 100 | 1 1 2 |
| 46.38 | 34 | 2 0 0 |
| 50.83 | 27 | 1 0 5 |
| 59.49 | 30 | 2 1 3 |

Structure:
a = 3.9158 Å, b = 3.9158 Å, c = 10.1080 Å
α = 90.00°, β = 90.00°, γ = 90.00°
Space group I4/mmm (No. 139)
Asymmetric unit:
Np1 0.0000 0.0000 0.0000
Cr1 0.0000 0.5000 0.2500
Si1 0.0000 0.0000 0.3843



# 2
Calculated powder diffractogram
Compound: Na2SO9
Radiation: a wavelength of 1.5418 Å
Structure: the GGA-PBE geometry in the Materials Project

Most intense lines, 2θ from 5° to 70°, by angle:
| 2theta | I (rel.) | hkl |
| --- | --- | --- |
| 15.51 | 38 | 1 1 0 |
| 23.30 | 37 | 2 0 1 |
| 25.81 | 66 | 2 1 1 |
| 29.07 | 100 | 2 1 2 |
| 30.67 | 81 | 0 0 4 |
| 46.79 | 31 | 3 2 3 |

Structure:
a = 8.0814 Å, b = 8.0814 Å, c = 11.6594 Å
α = 90.00°, β = 90.00°, γ = 90.00°
Space group P4_322 (No. 95)
Asymmetric unit:
Na1 0.0000 0.1599 0.0000
Na2 0.2077 0.5000 0.7500
S1 0.3816 0.5000 0.2500
O1 0.0386 0.2473 0.7684
O2 0.0542 0.4838 0.5389
O3 0.1602 0.1670 0.4480
O4 0.2939 0.3457 0.2476
O5 0.4919 0.4919 0.6250



# 3
Calculated powder diffractogram
Compound: Y3CrS6
Radiation: a wavelength of 1.5418 Å
Structure: the GGA-PBE geometry in the Materials Project

Most intense lines, 2θ from 5° to 70°, by angle:
| 2theta | I (rel.) | hkl |
| --- | --- | --- |
| 25.98 | 67 | 2 4 0 |
| 26.90 | 50 | 4 0 0 |
| 35.45 | 100 | 3 3 1 |
| 36.77 | 62 | 0 5 1 |
| 41.92 | 60 | 5 1 1 |
| 48.11 | 54 | 0 0 2 |

Structure:
a = 13.2951 Å, b = 16.0133 Å, c = 3.7823 Å
α = 90.00°, β = 90.00°, γ = 90.00°
Space group Pnnm (No. 58)
Asymmetric unit:
Y1 0.0498 0.2193 0.0000
Y2 0.1803 0.6484 0.0000
Y3 0.2458 0.9025 0.5000
Cr1 0.0000 0.0000 0.5000
Cr2 0.0000 0.5000 0.5000
S1 0.0237 0.4034 0.0000
S2 0.0824 0.9258 0.0000
S3 0.1039 0.7547 0.5000
S4 0.1210 0.1075 0.5000
S5 0.1792 0.5213 0.5000
S6 0.1876 0.2894 0.5000